Structure and simulated powder X-ray diffraction pattern of SmBH8SO10 (the PBE geometry in OQMD; Cu Kα (λ = 1.5418 Å)).
No peak broadening, texture or thermal motion is included.

Top 12 peaks for 2θ = 10–80°, sorted by position:
two_theta	d (Å)	I_rel
16.48	5.380	71
17.48	5.073	100
19.37	4.584	89
21.53	4.127	27
26.83	3.322	44
31.62	2.829	20
32.91	2.722	25
33.31	2.690	17
35.39	2.537	19
35.86	2.504	16
44.65	2.029	21
49.48	1.842	17

Structure:
a b c (Å): 6.1007 9.1671 6.6555
angles (deg): 90.00 93.22 90.00
Sites, in units of the cell vectors:
Sm 0.1800 0.2500 0.2755
Sm 0.8200 0.7500 0.7245
B 0.3238 0.7500 0.7383
B 0.6762 0.2500 0.2617
H 0.0306 0.0499 0.7218
H 0.0306 0.4501 0.7218
H 0.1268 0.5630 0.0968
H 0.1268 0.9370 0.0968
H 0.2339 0.7500 0.4374
H 0.2761 0.7500 0.0365
H 0.4159 0.5350 0.6889
H 0.4159 0.9650 0.6889
H 0.5841 0.0350 0.3111
H 0.5841 0.4650 0.3111
H 0.7239 0.2500 0.9635
H 0.7661 0.2500 0.5626
H 0.8732 0.0630 0.9032
H 0.8732 0.4370 0.9032
H 0.9694 0.5499 0.2782
H 0.9694 0.9501 0.2782
S 0.3358 0.2500 0.7339
S 0.6642 0.7500 0.2661
O 0.0967 0.5047 0.2155
O 0.0967 0.9953 0.2155
O 0.1620 0.7500 0.5662
O 0.1803 0.7500 0.9103
O 0.2299 0.2500 0.9257
O 0.2585 0.1199 0.6115
O 0.2585 0.3801 0.6115
O 0.4237 0.7500 0.2416
O 0.4778 0.6266 0.7433
O 0.4778 0.8734 0.7433
O 0.5222 0.1266 0.2567
O 0.5222 0.3734 0.2567
O 0.5763 0.2500 0.7584
O 0.7415 0.6199 0.3885
O 0.7415 0.8801 0.3885
O 0.7701 0.7500 0.0743
O 0.8197 0.2500 0.0897
O 0.8380 0.2500 0.4338
O 0.9033 0.0047 0.7845
O 0.9033 0.4953 0.7845

***

Structure and simulated powder X-ray diffraction pattern of TmB2HO5 (the PBE geometry in OQMD; Cu Kα (λ = 1.5418 Å)).
No peak broadening, texture or thermal motion is included.

Top 12 peaks for 2θ = 10–80°, sorted by position:
two_theta	d (Å)	I_rel
15.61	5.676	91
20.66	4.299	55
22.56	3.941	61
23.39	3.804	42
26.00	3.427	29
26.55	3.358	100
31.51	2.839	50
33.87	2.646	32
34.80	2.578	28
35.08	2.558	32
35.35	2.539	44
36.45	2.465	44

Structure:
a b c (Å): 5.4573 5.4573 11.3629
angles (deg): 91.59 91.59 103.97
Sites, in units of the cell vectors:
Tm 0.1873 0.2960 0.0629
Tm 0.2960 0.1873 0.5629
Tm 0.7040 0.8127 0.4371
Tm 0.8127 0.7040 0.9371
B 0.0892 0.3922 0.3655
B 0.1402 0.3724 0.7833
B 0.3724 0.1402 0.2833
B 0.3922 0.0892 0.8655
B 0.6078 0.9108 0.1345
B 0.6276 0.8598 0.7167
B 0.8598 0.6276 0.2167
B 0.9108 0.6078 0.6345
H 0.2087 0.6664 0.4939
H 0.3336 0.7913 0.0061
H 0.6664 0.2087 0.9939
H 0.7913 0.3336 0.5061
O 0.0388 0.8094 0.5632
O 0.0661 0.4357 0.8885
O 0.0787 0.4485 0.6732
O 0.1906 0.9612 0.9368
O 0.2107 0.3018 0.2654
O 0.2968 0.5536 0.4448
O 0.3018 0.2107 0.7654
O 0.4357 0.0661 0.3885
O 0.4464 0.7032 0.0552
O 0.4485 0.0787 0.1732
O 0.5515 0.9213 0.8268
O 0.5536 0.2968 0.9448
O 0.5643 0.9339 0.6115
O 0.6982 0.7893 0.2346
O 0.7032 0.4464 0.5552
O 0.7893 0.6982 0.7346
O 0.8094 0.0388 0.0632
O 0.9213 0.5515 0.3268
O 0.9339 0.5643 0.1115
O 0.9612 0.1906 0.4368

***

Structure and simulated powder X-ray diffraction pattern of Zn2BHO4 (the PBE geometry in OQMD; Cu Kα (λ = 1.5418 Å)).
No peak broadening, texture or thermal motion is included.

Top 12 peaks for 2θ = 10–80°, sorted by position:
two_theta	d (Å)	I_rel
19.37	4.582	79
22.14	4.016	18
22.50	3.951	100
28.69	3.112	22
29.45	3.033	30
32.05	2.793	23
34.75	2.582	39
36.52	2.460	47
37.01	2.429	26
38.01	2.368	42
41.93	2.155	15
60.19	1.538	15

Structure:
a b c (Å): 5.6352 4.9217 6.6875
angles (deg): 90.00 97.64 90.00
Sites, in units of the cell vectors:
Zn 0.0618 0.0000 0.1476
Zn 0.4212 0.5179 0.6297
Zn 0.5788 0.0179 0.3703
Zn 0.9382 0.5000 0.8524
B 0.3374 0.5014 0.2006
B 0.6626 0.0014 0.7994
H 0.0124 0.6791 0.5228
H 0.9876 0.1791 0.4772
O 0.0706 0.5099 0.5947
O 0.1634 0.6384 0.0760
O 0.3560 0.2227 0.1805
O 0.4851 0.6327 0.3506
O 0.5149 0.1327 0.6494
O 0.6440 0.7227 0.8195
O 0.8366 0.1384 0.9240
O 0.9294 0.0099 0.4053

***

Structure and simulated powder X-ray diffraction pattern of ZnB3H3O7 (the PBE geometry in OQMD; Cu Kα (λ = 1.5418 Å)).
No peak broadening, texture or thermal motion is included.

Top 12 peaks for 2θ = 10–80°, sorted by position:
two_theta	d (Å)	I_rel
17.63	5.031	100
19.12	4.641	37
24.11	3.692	29
25.70	3.466	24
25.93	3.436	27
26.12	3.411	43
27.43	3.252	35
32.34	2.769	29
33.57	2.669	23
35.69	2.516	22
40.83	2.210	30
52.82	1.733	22

Structure:
a b c (Å): 6.9796 10.0622 9.3074
angles (deg): 90.00 127.50 90.00
Sites, in units of the cell vectors:
Zn 0.2187 0.2448 0.1521
Zn 0.2187 0.2552 0.6521
Zn 0.7813 0.7448 0.3479
Zn 0.7813 0.7552 0.8479
B 0.1954 0.5065 0.2834
B 0.1954 0.9935 0.7834
B 0.2684 0.7266 0.2198
B 0.2684 0.7734 0.7198
B 0.3402 0.6835 0.5018
B 0.3402 0.8165 0.0018
B 0.6598 0.1835 0.9982
B 0.6598 0.3165 0.4982
B 0.7316 0.2266 0.2802
B 0.7316 0.2734 0.7802
B 0.8046 0.0065 0.2166
B 0.8046 0.4935 0.7166
H 0.0373 0.1709 0.8312
H 0.0373 0.3291 0.3312
H 0.2317 0.5019 0.6341
H 0.2317 0.9981 0.1341
H 0.4758 0.0462 0.3085
H 0.4758 0.4538 0.8085
H 0.5242 0.5462 0.1915
H 0.5242 0.9538 0.6915
H 0.7683 0.0019 0.8659
H 0.7683 0.4981 0.3659
H 0.9627 0.6709 0.6688
H 0.9627 0.8291 0.1688
O 0.0263 0.7162 0.6011
O 0.0263 0.7838 0.1011
O 0.1304 0.1223 0.7492
O 0.1304 0.3777 0.2492
O 0.2155 0.5647 0.4313
O 0.2155 0.9353 0.9313
O 0.2572 0.5808 0.1941
O 0.2572 0.9192 0.6941
O 0.2990 0.0541 0.2422
O 0.2990 0.4459 0.7422
O 0.3853 0.7376 0.9089
O 0.3853 0.7624 0.4089
O 0.4240 0.7158 0.6766
O 0.4240 0.7842 0.1766
O 0.5760 0.2158 0.8234
O 0.5760 0.2842 0.3234
O 0.6147 0.2376 0.5911
O 0.6147 0.2624 0.0911
O 0.7010 0.5541 0.2578
O 0.7010 0.9459 0.7578
O 0.7428 0.0808 0.3059
O 0.7428 0.4192 0.8059
O 0.7845 0.0647 0.0687
O 0.7845 0.4353 0.5687
O 0.8696 0.6223 0.7508
O 0.8696 0.8777 0.2508
O 0.9737 0.2162 0.8989
O 0.9737 0.2838 0.3989

***

Structure and simulated powder X-ray diffraction pattern of PrB3H12 (the PBE geometry in OQMD; Cu Kα (λ = 1.5418 Å)).
No peak broadening, texture or thermal motion is included.

Top 12 peaks for 2θ = 10–80°, sorted by position:
two_theta	d (Å)	I_rel
17.35	5.112	100
23.41	3.800	46
25.79	3.454	31
31.25	2.862	22
35.11	2.556	16
37.82	2.379	33
39.61	2.275	12
40.95	2.204	24
44.07	2.055	19
45.48	1.994	11
55.17	1.665	9
56.22	1.636	9

Structure:
a b c (Å): 7.6776 7.6776 7.6776
angles (deg): 53.48 53.48 53.48
Sites, in units of the cell vectors:
Pr 0.0000 0.0000 0.0000
Pr 0.5000 0.5000 0.5000
B 0.0914 0.7500 0.4086
B 0.2500 0.5914 0.9086
B 0.4086 0.0914 0.7500
B 0.5914 0.9086 0.2500
B 0.7500 0.4086 0.0914
B 0.9086 0.2500 0.5914
H 0.0707 0.7137 0.5970
H 0.0808 0.7391 0.8508
H 0.0970 0.2137 0.5707
H 0.1492 0.9192 0.2609
H 0.2137 0.5707 0.0970
H 0.2391 0.5808 0.3508
H 0.2609 0.1492 0.9192
H 0.2863 0.4030 0.9293
H 0.3508 0.2391 0.5808
H 0.4030 0.9293 0.2863
H 0.4192 0.6492 0.7609
H 0.4293 0.9030 0.7863
H 0.5707 0.0970 0.2137
H 0.5808 0.3508 0.2391
H 0.5970 0.0707 0.7137
H 0.6492 0.7609 0.4192
H 0.7137 0.5970 0.0707
H 0.7391 0.8508 0.0808
H 0.7609 0.4192 0.6492
H 0.7863 0.4293 0.9030
H 0.8508 0.0808 0.7391
H 0.9030 0.7863 0.4293
H 0.9192 0.2609 0.1492
H 0.9293 0.2863 0.4030